Entry 1:
This entry pairs a crystal structure of HfSbPd with its simulated powder diffraction line list. Radiation: a wavelength of 1.5418 Å. Structure: a cell relaxed with PBE.
Lines closer than 0.1° are merged.

Structural model:
```
data_HfSbPd
_chemical_formula_sum 'Hf4 Sb4 Pd4'
_symmetry_space_group_name_H-M 'P n m a'
_symmetry_Int_Tables_number 62
_symmetry_space_group_name_Hall '-P 2ac 2n'
_cell_length_a 6.680
_cell_length_b 4.416
_cell_length_c 8.022
_cell_angle_alpha 90.00
_cell_angle_beta 90.00
_cell_angle_gamma 90.00
loop_
_atom_site_label
_atom_site_fract_x
_atom_site_fract_y
_atom_site_fract_z
Hf1 0.015 0.250 0.205
Sb1 0.237 0.750 0.400
Pd1 0.171 0.250 0.577
```

Top 6 peaks for 15 to 90 degrees two-theta, low angle first:
| 2θ/deg | I_rel |
| --- | --- |
| 33.01 | 37 |
| 34.96 | 35 |
| 35.51 | 100 |
| 39.39 | 62 |
| 40.87 | 40 |
| 54.84 | 19 |

---

Entry 2:
This entry pairs a crystal structure of Li2AcAl with its simulated powder diffraction line list. Radiation: a wavelength of 1.5418 Å. Structure: a cell relaxed with PBE.
Lines closer than 0.1° are merged.

Structural model:
```
data_Li2AcAl
_chemical_formula_sum 'Li8 Ac4 Al4'
_symmetry_space_group_name_H-M 'F m -3 m'
_symmetry_Int_Tables_number 225
_symmetry_space_group_name_Hall '-F 4 2 3'
_cell_length_a 7.196
_cell_length_b 7.196
_cell_length_c 7.196
_cell_angle_alpha 90.00
_cell_angle_beta 90.00
_cell_angle_gamma 90.00
loop_
_atom_site_label
_atom_site_fract_x
_atom_site_fract_y
_atom_site_fract_z
Li1 0.250 0.250 0.250
Ac1 0.000 0.000 0.000
Al1 0.000 0.000 0.500
```

Top 6 peaks for 15 to 90 degrees two-theta, low angle first:
| 2θ/deg | I_rel |
| --- | --- |
| 21.39 | 100 |
| 24.74 | 82 |
| 35.27 | 78 |
| 41.62 | 56 |
| 57.25 | 34 |
| 63.31 | 29 |

---

Entry 3:
This entry pairs a crystal structure of Ca2Eu2In3Ge4 with its simulated powder diffraction line list. Radiation: a wavelength of 1.5418 Å. Structure: a cell relaxed with PBE.
Lines closer than 0.1° are merged.

Structural model:
```
data_Ca2Eu2In3Ge4
_chemical_formula_sum 'Ca4 Eu4 In6 Ge8'
_symmetry_space_group_name_H-M 'C 1 2/m 1'
_symmetry_Int_Tables_number 12
_symmetry_space_group_name_Hall '-C 2y'
_cell_length_a 16.704
_cell_length_b 4.706
_cell_length_c 7.417
_cell_angle_alpha 90.00
_cell_angle_beta 107.06
_cell_angle_gamma 90.00
loop_
_atom_site_label
_atom_site_fract_x
_atom_site_fract_y
_atom_site_fract_z
Ca1 0.076 0.000 0.367
Eu1 0.147 0.000 0.923
In1 0.000 0.500 0.000
In2 0.213 0.500 0.625
Ge1 0.054 0.500 0.658
Ge2 0.190 0.500 0.229
```

Top 6 peaks for 15 to 90 degrees two-theta, low angle first:
| 2θ/deg | I_rel |
| --- | --- |
| 25.95 | 61 |
| 30.43 | 78 |
| 30.75 | 64 |
| 33.41 | 100 |
| 33.92 | 70 |
| 38.25 | 91 |

---

Entry 4:
This entry pairs a crystal structure of CaIrO3 with its simulated powder diffraction line list. Radiation: a wavelength of 1.5418 Å. Structure: a cell relaxed with PBE.
Lines closer than 0.1° are merged.

Structural model:
```
data_CaIrO3
_chemical_formula_sum 'Ca4 Ir4 O12'
_symmetry_space_group_name_H-M 'C m c m'
_symmetry_Int_Tables_number 63
_symmetry_space_group_name_Hall '-C 2c 2'
_cell_length_a 2.789
_cell_length_b 10.817
_cell_length_c 7.496
_cell_angle_alpha 90.00
_cell_angle_beta 90.00
_cell_angle_gamma 90.00
loop_
_atom_site_label
_atom_site_fract_x
_atom_site_fract_y
_atom_site_fract_z
Ca1 0.000 0.222 0.250
Ir1 0.000 0.000 0.000
O1 0.000 0.354 0.504
O2 0.000 0.498 0.750
```

Top 6 peaks for 15 to 90 degrees two-theta, low angle first:
| 2θ/deg | I_rel |
| --- | --- |
| 16.39 | 100 |
| 23.74 | 47 |
| 28.98 | 88 |
| 33.15 | 71 |
| 41.19 | 64 |
| 47.84 | 69 |

---

Entry 5:
This entry pairs a crystal structure of NaLiGe4O9 with its simulated powder diffraction line list. Radiation: a wavelength of 1.5418 Å. Structure: a cell relaxed with PBE.
Lines closer than 0.1° are merged.

Structural model:
```
data_NaLiGe4O9
_chemical_formula_sum 'Na4 Li4 Ge16 O36'
_symmetry_space_group_name_H-M 'P c a 21'
_symmetry_Int_Tables_number 29
_symmetry_space_group_name_Hall 'P 2c -2ac'
_cell_length_a 16.188
_cell_length_b 4.742
_cell_length_c 9.476
_cell_angle_alpha 90.00
_cell_angle_beta 90.00
_cell_angle_gamma 90.00
loop_
_atom_site_label
_atom_site_fract_x
_atom_site_fract_y
_atom_site_fract_z
Na1 0.045 0.024 0.000
Li1 0.235 0.957 0.786
Ge1 0.095 0.492 0.309
Ge2 0.098 0.509 0.726
Ge3 0.155 0.998 0.518
Ge4 0.207 0.499 0.020
O1 0.003 0.343 0.780
O2 0.071 0.771 0.604
O3 0.073 0.223 0.431
O4 0.131 0.355 0.140
O5 0.143 0.671 0.884
O6 0.163 0.225 0.683
O7 0.164 0.765 0.356
O8 0.238 0.765 0.606
O9 0.242 0.221 0.435
```

Top 6 peaks for 15 to 90 degrees two-theta, low angle first:
| 2θ/deg | I_rel |
| --- | --- |
| 18.71 | 59 |
| 21.73 | 71 |
| 26.60 | 68 |
| 30.53 | 100 |
| 34.75 | 75 |
| 35.92 | 74 |

---

Entry 6:
This entry pairs a crystal structure of PuPO4 with its simulated powder diffraction line list. Radiation: a wavelength of 1.5418 Å. Structure: a cell relaxed with PBE.
Lines closer than 0.1° are merged.

Structural model:
```
data_PuPO4
_chemical_formula_sum 'Pu4 P4 O16'
_symmetry_space_group_name_H-M 'P 1 21/c 1'
_symmetry_Int_Tables_number 14
_symmetry_space_group_name_Hall '-P 2ybc'
_cell_length_a 6.466
_cell_length_b 7.063
_cell_length_c 8.197
_cell_angle_alpha 90.00
_cell_angle_beta 126.21
_cell_angle_gamma 90.00
loop_
_atom_site_label
_atom_site_fract_x
_atom_site_fract_y
_atom_site_fract_z
Pu1 0.184 0.161 0.284
P1 0.311 0.665 0.198
O1 0.120 0.665 0.622
O2 0.192 0.508 0.253
O3 0.337 0.606 0.029
O4 0.410 0.215 0.124
```

Top 6 peaks for 15 to 90 degrees two-theta, low angle first:
| 2θ/deg | I_rel |
| --- | --- |
| 21.17 | 79 |
| 25.18 | 45 |
| 26.96 | 62 |
| 28.65 | 100 |
| 31.17 | 93 |
| 42.06 | 51 |

---

Entry 7:
This entry pairs a crystal structure of In4Se3 with its simulated powder diffraction line list. Radiation: a wavelength of 1.5418 Å. Structure: a cell relaxed with PBE.
Lines closer than 0.1° are merged.

Structural model:
```
data_In4Se3
_chemical_formula_sum 'In16 Se12'
_symmetry_space_group_name_H-M 'P n n m'
_symmetry_Int_Tables_number 58
_symmetry_space_group_name_Hall '-P 2 2n'
_cell_length_a 12.571
_cell_length_b 15.594
_cell_length_c 4.179
_cell_angle_alpha 90.00
_cell_angle_beta 90.00
_cell_angle_gamma 90.00
loop_
_atom_site_label
_atom_site_fract_x
_atom_site_fract_y
_atom_site_fract_z
In1 0.025 0.185 0.000
In2 0.105 0.423 0.000
In3 0.145 0.032 0.000
In4 0.162 0.710 0.000
Se1 0.137 0.269 0.500
Se2 0.151 0.596 0.500
Se3 0.156 0.924 0.500
```

Top 6 peaks for 15 to 90 degrees two-theta, low angle first:
| 2θ/deg | I_rel |
| --- | --- |
| 22.42 | 20 |
| 27.34 | 31 |
| 28.33 | 100 |
| 43.30 | 22 |
| 43.46 | 17 |
| 45.58 | 26 |

---

Entry 8:
This entry pairs a crystal structure of Co5Sn2Sb2 with its simulated powder diffraction line list. Radiation: a wavelength of 1.5418 Å. Structure: a cell relaxed with PBE.
Lines closer than 0.1° are merged.

Structural model:
```
data_Co5Sn2Sb2
_chemical_formula_sum 'Co5 Sn2 Sb2'
_symmetry_space_group_name_H-M 'P -6 m 2'
_symmetry_Int_Tables_number 187
_symmetry_space_group_name_Hall 'P -6 2'
_cell_length_a 4.1499
_cell_length_b 4.1499
_cell_length_c 9.8896
_cell_angle_alpha 90.00
_cell_angle_beta 90.00
_cell_angle_gamma 120.00
loop_
_atom_site_label
_atom_site_fract_x
_atom_site_fract_y
_atom_site_fract_z
Co1 0.0000 0.0000 0.0000
Co2 0.3333 0.6667 0.1295
Co3 0.3333 0.6667 0.3736
Sn1 0.6667 0.3333 0.0000
Sn2 0.6667 0.3333 0.5000
Sb1 0.0000 0.0000 0.2605
```

Top 6 peaks for 15 to 90 degrees two-theta, low angle first:
| 2θ/deg | I_rel |
| --- | --- |
| 30.75 | 100 |
| 43.62 | 90 |
| 44.48 | 72 |
| 54.32 | 21 |
| 64.06 | 23 |
| 80.71 | 24 |